For RbNdCoF6, a cell relaxed with PBE+U gives the simulated X-ray diffraction stick pattern in this record (λ = 1.5418 Å (Cu Kα)).
No peak broadening, texture or thermal motion is included.

Crystal structure
Unit cell a=7.500 b=7.500 c=7.500 alpha=120.50 beta=116.87 gamma=92.32
Fractional coordinates of all 18 atoms:
Rb (0.338, 0.088, 0.250)
Rb (0.662, 0.912, 0.750)
Nd (0.000, 0.500, 0.500)
Nd (0.500, 0.500, 0.000)
Co (0.000, 0.000, 0.500)
Co (0.000, 0.500, 0.000)
F (0.056, 0.347, 0.169)
F (0.056, 0.887, 0.710)
F (0.096, 0.346, 0.750)
F (0.322, 0.113, 0.669)
F (0.322, 0.653, 0.210)
F (0.370, 0.620, 0.750)
F (0.630, 0.380, 0.250)
F (0.678, 0.347, 0.790)
F (0.678, 0.887, 0.331)
F (0.904, 0.654, 0.250)
F (0.944, 0.113, 0.290)
F (0.944, 0.653, 0.831)

Main lines, sorted by position (10° ≤ 2θ ≤ 90°):
2θ = 14.64°, I 49; 2θ = 27.08°, I 100; 2θ = 27.89°, I 42; 2θ = 28.48°, I 61; 2θ = 29.53°, I 62; 2θ = 48.64°, I 66